No. 1
For CeNi5, a cell relaxed with PBE gives the simulated powder X-ray diffraction pattern in this record (Cu Kα (weighted mean of Kα1 and Kα2)).

Top 11 peaks for 2θ = 5–70°, most intense first:
2θ = 43.55°, d = 2.078 Å, intensity 100, hkl 1 1 1
2θ = 30.86°, d = 2.898 Å, intensity 45, hkl 1 0 1
2θ = 42.89°, d = 2.108 Å, intensity 34, hkl 2 0 0
2θ = 36.92°, d = 2.435 Å, intensity 30, hkl 1 1 0
2θ = 45.48°, d = 1.994 Å, intensity 28, hkl 0 0 2
2θ = 64.29°, d = 1.449 Å, intensity 19, hkl 2 0 2
2θ = 59.96°, d = 1.543 Å, intensity 14, hkl 1 1 2
2θ = 62.78°, d = 1.480 Å, intensity 12, hkl 2 1 1
2θ = 48.86°, d = 1.864 Å, intensity 9, hkl 2 0 1
2θ = 66.52°, d = 1.406 Å, intensity 5, hkl 3 0 0
2θ = 22.29°, d = 3.989 Å, intensity 5, hkl 0 0 1

Structure:
```
data_CeNi5
_chemical_formula_sum 'Ce1 Ni5'
_cell_length_a 4.8692
_cell_length_b 4.8692
_cell_length_c 3.9888
_cell_angle_alpha 90.00
_cell_angle_beta 90.00
_cell_angle_gamma 120.00
_symmetry_space_group_name_H-M 'P 6/m m m'
_symmetry_Int_Tables_number 191
_symmetry_space_group_name_Hall '-P 6 2'
loop_
_atom_site_label
_atom_site_type_symbol
_atom_site_fract_x
_atom_site_fract_y
_atom_site_fract_z
Ce1 Ce 0.0000 0.0000 0.0000
Ni1 Ni 0.0000 0.5000 0.5000
Ni2 Ni 0.3333 0.6667 0.0000
```

=====

No. 2
For Ce6Ni20P13, a cell relaxed with PBE gives the simulated powder X-ray diffraction pattern in this record (Cu Kα (weighted mean of Kα1 and Kα2)).

Top 12 peaks for 2θ = 5–70°, most intense first:
2θ = 37.66°, d = 2.388 Å, intensity 100, hkl 3 1 1
2θ = 47.69°, d = 1.907 Å, intensity 23, hkl 0 0 2
2θ = 36.74°, d = 2.446 Å, intensity 19, hkl 2 2 1
2θ = 51.68°, d = 1.769 Å, intensity 19, hkl 2 5 0
2θ = 37.31°, d = 2.410 Å, intensity 12, hkl 1 4 0
2θ = 57.43°, d = 1.605 Å, intensity 12, hkl 5 2 1
2θ = 43.35°, d = 2.087 Å, intensity 11, hkl 2 4 0
2θ = 29.15°, d = 3.063 Å, intensity 11, hkl 3 1 0
2θ = 45.74°, d = 1.984 Å, intensity 11, hkl 1 5 0
2θ = 40.32°, d = 2.237 Å, intensity 9, hkl 4 0 1
2θ = 35.43°, d = 2.534 Å, intensity 9, hkl 3 2 0
2θ = 42.85°, d = 2.111 Å, intensity 7, hkl 2 3 1

Structure:
```
data_Ce6Ni20P13
_chemical_formula_sum 'Ce6 Ni20 P13'
_cell_length_a 12.7537
_cell_length_b 12.7537
_cell_length_c 3.8142
_cell_angle_alpha 90.00
_cell_angle_beta 90.00
_cell_angle_gamma 120.00
_symmetry_space_group_name_H-M 'P -6'
_symmetry_Int_Tables_number 174
loop_
_symmetry_equiv_pos_as_xyz
'x,y,z'
'-x+y,-x,-z'
'-y,x-y,z'
'x,y,-z'
'-x+y,-x,z'
'-y,x-y,-z'
loop_
_atom_site_label
_atom_site_type_symbol
_atom_site_fract_x
_atom_site_fract_y
_atom_site_fract_z
Ce1 Ce 0.0525 0.1991 0.0000
Ce2 Ce 0.5206 0.3846 0.5000
Ni1 Ni 0.0000 0.0000 0.5000
Ni2 Ni 0.0175 0.4212 0.0000
Ni3 Ni 0.0912 0.7439 0.5000
Ni4 Ni 0.1393 0.5782 0.5000
Ni5 Ni 0.2512 0.5130 0.0000
Ni6 Ni 0.3107 0.2329 0.0000
Ni7 Ni 0.3558 0.1031 0.5000
Ni8 Ni 0.6667 0.3333 0.0000
P1 P 0.0583 0.6224 0.0000
P2 P 0.1011 0.3889 0.5000
P3 P 0.2004 0.1464 0.5000
P4 P 0.3333 0.6667 0.5000
P5 P 0.4660 0.1869 0.0000
```